1.
Theoretical powder diffractogram of YRe4Si2 for λ = 1.5418 Å (Cu Kα), from a DFT-relaxed cell (GGA-PBE, the Materials Project).

Principal peaks in the range 2θ from 10° to 80°, low angle first:
16.9°, intensity 61.5; 27.4°, intensity 57.6; 34.6°, intensity 70.1; 38.4°, intensity 51.5; 40.7°, intensity 100.0; 44.4°, intensity 54.3

Crystal structure
Cell: 7.413 7.413 4.146 Å, 90.00 90.00 90.00°
Element x y z (fractional)
Y: 0.000 0.000 0.000
Y: 0.500 0.500 0.500
Re: 0.094 0.342 0.500
Re: 0.158 0.594 0.000
Re: 0.342 0.094 0.500
Re: 0.406 0.842 0.000
Re: 0.594 0.158 0.000
Re: 0.658 0.906 0.500
Re: 0.842 0.406 0.000
Re: 0.906 0.658 0.500
Si: 0.209 0.791 0.500
Si: 0.291 0.291 0.000
Si: 0.709 0.709 0.000
Si: 0.791 0.209 0.500

***

2.
Theoretical powder diffractogram of TbCeO4 for λ = 1.5418 Å (Cu Kα), from a DFT-relaxed cell (GGA-PBE, the Materials Project).

Principal peaks in the range 2θ from 10° to 80°, low angle first:
28.3°, intensity 100.0; 32.0°, intensity 21.5; 45.9°, intensity 19.4; 47.6°, intensity 34.6; 54.8°, intensity 31.7; 57.8°, intensity 13.5

Crystal structure
Cell: 6.556 6.556 6.556 Å, 129.46 129.46 74.26°
Element x y z (fractional)
Tb: 0.375 0.625 0.750
Tb: 0.625 0.375 0.250
Ce: 0.125 0.875 0.250
Ce: 0.875 0.125 0.750
O: 0.000 0.246 0.246
O: 0.000 0.754 0.754
O: 0.246 0.000 0.746
O: 0.246 0.500 0.246
O: 0.500 0.246 0.746
O: 0.500 0.754 0.254
O: 0.754 0.000 0.254
O: 0.754 0.500 0.754

***

3.
Theoretical powder diffractogram of ReN2 for λ = 1.5418 Å (Cu Kα), from a DFT-relaxed cell (GGA-PBE, the Materials Project).

Principal peaks in the range 2θ from 10° to 80°, low angle first:
23.2°, intensity 100.0; 36.5°, intensity 52.4; 38.3°, intensity 32.9; 38.8°, intensity 70.9; 48.2°, intensity 33.4; 53.6°, intensity 23.5

Crystal structure
Cell: 4.237 2.893 5.108 Å, 90.00 113.07 90.00°
Element x y z (fractional)
Re: 0.206 0.250 0.216
Re: 0.794 0.750 0.784
N: 0.155 0.250 0.795
N: 0.390 0.250 0.671
N: 0.610 0.750 0.329
N: 0.845 0.750 0.205

***

4.
Theoretical powder diffractogram of FeSe for λ = 1.5418 Å (Cu Kα), from a DFT-relaxed cell (GGA-PBE, the Materials Project).

Principal peaks in the range 2θ from 10° to 80°, low angle first:
29.3°, intensity 2.8; 42.0°, intensity 100.0; 52.0°, intensity 0.9; 60.9°, intensity 15.8; 69.0°, intensity 1.4; 76.7°, intensity 31.4

Crystal structure
Cell: 3.044 3.044 3.044 Å, 90.00 90.00 90.00°
Element x y z (fractional)
Fe: 0.000 0.000 0.000
Se: 0.500 0.500 0.500

***

Repeat the first record exactly.
Theoretical powder diffractogram of YRe4Si2 for λ = 1.5418 Å (Cu Kα), from a DFT-relaxed cell (GGA-PBE, the Materials Project).

Principal peaks in the range 2θ from 10° to 80°, low angle first:
16.9°, intensity 61.5; 27.4°, intensity 57.6; 34.6°, intensity 70.1; 38.4°, intensity 51.5; 40.7°, intensity 100.0; 44.4°, intensity 54.3

Crystal structure
Cell: 7.413 7.413 4.146 Å, 90.00 90.00 90.00°
Element x y z (fractional)
Y: 0.000 0.000 0.000
Y: 0.500 0.500 0.500
Re: 0.094 0.342 0.500
Re: 0.158 0.594 0.000
Re: 0.342 0.094 0.500
Re: 0.406 0.842 0.000
Re: 0.594 0.158 0.000
Re: 0.658 0.906 0.500
Re: 0.842 0.406 0.000
Re: 0.906 0.658 0.500
Si: 0.209 0.791 0.500
Si: 0.291 0.291 0.000
Si: 0.709 0.709 0.000
Si: 0.791 0.209 0.500